Structure and theoretical X-ray diffraction stick pattern of La3Y3MgS8 (DFT lattice parameters and positions (PBE); Cu Ka).

Largest 10 diffraction maxima, by intensity, 5° ≤ 2θ ≤ 70°:
2θ 31.59, I 100; 2θ 44.85, I 35; 2θ 45.71, I 34; 2θ 27.44, I 29; 2θ 15.65, I 24; 2θ 56.63, I 18; 2θ 26.77, I 11; 2θ 65.97, I 11; 2θ 21.99, I 11; 2θ 53.77, I 10

```
La3Y3MgS8
1.0
3.9694 2.2917 6.6612
-3.9694 2.2917 6.6612
0.0000 -4.5835 6.6612
La Y Mg S
3 3 1 8
direct
0.0000 0.5000 0.5000
0.5000 0.0000 0.5000
0.5000 0.5000 0.0000
0.0000 0.0000 0.5000
0.0000 0.5000 0.0000
0.5000 0.0000 0.0000
0.5000 0.5000 0.5000
0.2439 0.2439 0.2439
0.2515 0.7371 0.7371
0.2629 0.2629 0.7485
0.2629 0.7485 0.2629
0.7371 0.2515 0.7371
0.7371 0.7371 0.2515
0.7485 0.2629 0.2629
0.7561 0.7561 0.7561
```